No. 1
Structure and simulated PXRD pattern of Zn3PdAu (a cell relaxed with GGA-PBE; a wavelength of 1.5418 Å).
Intensities are scaled so that the largest is 100.

Structural model:
Lattice parameters (Å, degrees): 4.2224 5.4590 6.9574 90.00 90.00 90.00
Space group Pmmn (No. 59, origin choice 2)
One atom of each set of equivalent atoms:
1 Zn 0.2500 0.0176 0.2481 [4 per cell]
2 Zn 0.2500 0.7500 0.5669 [2 per cell]
3 Pd 0.2500 0.2500 0.6568 [2 per cell]
4 Au 0.2500 0.7500 0.9376 [2 per cell]

Largest 12 diffraction maxima, most intense first, 2θ = 10–90°:
2theta	I (rel.)
41.48	100
37.32	73
29.67	69
44.58	62
42.83	55
30.47	36
42.08	35
61.59	32
26.69	30
32.81	24
54.97	20
42.34	20


No. 2
Structure and simulated PXRD pattern of Na2Cd8Rh (a cell relaxed with GGA-PBE; a wavelength of 1.5418 Å).
Intensities are scaled so that the largest is 100.

Structural model:
Lattice parameters (Å, degrees): 17.5291 4.8640 5.8315 90.00 95.66 90.00
Space group C2/m (No. 12)
One atom of each set of equivalent atoms:
1 Na 0.1570 0.0000 0.3430 [4 per cell]
2 Cd 0.0354 0.0000 0.7497 [4 per cell]
3 Cd 0.0772 0.5000 0.1150 [4 per cell]
4 Cd 0.1522 0.5000 0.6822 [4 per cell]
5 Cd 0.2433 0.0000 0.8460 [4 per cell]
6 Rh 0.0000 0.5000 0.5000 [2 per cell]

Largest 12 diffraction maxima, most intense first, 2θ = 10–90°:
2theta	I (rel.)
36.37	100
35.96	69
36.95	59
33.07	27
34.07	27
38.06	20
17.50	19
18.94	17
42.81	17
66.22	16
50.43	16
31.54	15


No. 3
Structure and simulated PXRD pattern of Nb12Sn3Os (a cell relaxed with GGA-PBE; a wavelength of 1.5418 Å).
Intensities are scaled so that the largest is 100.

Structural model:
Lattice parameters (Å, degrees): 5.2814 5.2872 10.5853 90.00 90.00 90.00
Space group Pmmm (No. 47)
One atom of each set of equivalent atoms:
1 Nb 0.0000 0.0000 0.1176 [2 per cell]
2 Nb 0.0000 0.0000 0.3711 [2 per cell]
3 Nb 0.2447 0.5000 0.2403 [4 per cell]
4 Nb 0.5000 0.2456 0.5000 [2 per cell]
5 Nb 0.5000 0.2569 0.0000 [2 per cell]
6 Sn 0.0000 0.5000 0.5000 [1 per cell]
7 Sn 0.5000 0.0000 0.2512 [2 per cell]
8 Os 0.0000 0.5000 0.0000 [1 per cell]

Largest 12 diffraction maxima, most intense first, 2θ = 10–90°:
2theta	I (rel.)
41.85	100
38.06	87
66.13	52
33.91	45
63.42	15
86.30	13
71.32	11
83.82	11
81.45	7
81.34	7
23.80	7
71.45	6


Q: What is the formula in the second record?
A: Na2Cd8Rh